This entry pairs a crystal structure of CsNiH6Pt with its simulated powder diffractogram. Radiation: Cu Kα (weighted mean of Kα1 and Kα2). Structure: a DFT-relaxed cell (PBE, Alexandria).
Peak positions follow from Bragg's law for the DFT cell and can differ from measured ones.

Cell and atoms:
```
data_CsNiH6Pt
_chemical_formula_sum 'Cs1 Ni1 H6 Pt1'
_symmetry_space_group_name_H-M 'P 1'
_symmetry_Int_Tables_number 1
_cell_length_a 4.719
_cell_length_b 4.719
_cell_length_c 6.278
_cell_angle_alpha 90.00
_cell_angle_beta 90.00
_cell_angle_gamma 120.00
loop_
_symmetry_equiv_pos_as_xyz
'x,y,z'
loop_
_atom_site_label
_atom_site_type_symbol
_atom_site_fract_x
_atom_site_fract_y
_atom_site_fract_z
_atom_site_occupancy
Cs1 Cs 0.000 0.000 0.000 1
Ni1 Ni 0.333 0.667 0.500 1
H1 H 0.366 0.001 0.368 1
H2 H 0.366 0.365 0.632 1
H3 H 0.635 0.001 0.632 1
H4 H 0.635 0.634 0.368 1
H5 H 0.999 0.365 0.368 1
H6 H 0.999 0.634 0.632 1
Pt1 Pt 0.667 0.333 0.500 1
```

Most intense lines, 2θ = 10–90°, low angle first:
2θ (°)	d [Å]	Rel. int.
14.1	6.278	16
26.0	3.425	100
28.4	3.139	25
38.1	2.360	34
46.7	1.943	20
48.2	1.886	35
48.9	1.863	18
61.9	1.500	18

This entry pairs a crystal structure of LiScCd4 with its simulated powder diffractogram. Radiation: Cu Kα (weighted mean of Kα1 and Kα2). Structure: a DFT-relaxed cell (PBE, Alexandria).
Peak positions follow from Bragg's law for the DFT cell and can differ from measured ones.

Cell and atoms:
```
data_LiScCd4
_chemical_formula_sum 'Li1 Sc1 Cd4'
_symmetry_space_group_name_H-M 'P 1'
_symmetry_Int_Tables_number 1
_cell_length_a 5.798
_cell_length_b 5.798
_cell_length_c 6.410
_cell_angle_alpha 123.41
_cell_angle_beta 123.41
_cell_angle_gamma 49.64
loop_
_symmetry_equiv_pos_as_xyz
'x,y,z'
loop_
_atom_site_label
_atom_site_type_symbol
_atom_site_fract_x
_atom_site_fract_y
_atom_site_fract_z
_atom_site_occupancy
Li1 Li 0.000 0.000 0.000 1
Sc1 Sc 0.000 0.000 0.500 1
Cd1 Cd 0.332 0.332 0.083 1
Cd2 Cd 0.333 0.333 0.581 1
Cd3 Cd 0.667 0.667 0.419 1
Cd4 Cd 0.668 0.668 0.917 1
```

Most intense lines, 2θ = 10–90°, low angle first:
2θ (°)	d [Å]	Rel. int.
21.1	4.207	51
27.8	3.205	70
35.2	2.549	87
36.9	2.434	51
37.2	2.420	100
46.9	1.938	33
47.0	1.933	33
47.1	1.929	32

This entry pairs a crystal structure of Pm12Dy2Mg with its simulated powder diffractogram. Radiation: Cu Kα (weighted mean of Kα1 and Kα2). Structure: a DFT-relaxed cell (PBE, Alexandria).
Peak positions follow from Bragg's law for the DFT cell and can differ from measured ones.

Cell and atoms:
```
data_Pm12Dy2Mg
_chemical_formula_sum 'Pm24 Dy4 Mg2'
_symmetry_space_group_name_H-M 'P 1'
_symmetry_Int_Tables_number 1
_cell_length_a 6.621
_cell_length_b 6.621
_cell_length_c 24.292
_cell_angle_alpha 90.00
_cell_angle_beta 90.00
_cell_angle_gamma 90.00
loop_
_symmetry_equiv_pos_as_xyz
'x,y,z'
loop_
_atom_site_label
_atom_site_type_symbol
_atom_site_fract_x
_atom_site_fract_y
_atom_site_fract_z
_atom_site_occupancy
Pm1 Pm 0.012 0.512 0.100 1
Pm2 Pm 0.012 0.988 0.900 1
Pm3 Pm 0.083 0.583 0.564 1
Pm4 Pm 0.083 0.917 0.436 1
Pm5 Pm 0.250 0.250 0.203 1
Pm6 Pm 0.250 0.250 0.328 1
Pm7 Pm 0.250 0.250 0.672 1
Pm8 Pm 0.250 0.250 0.797 1
Pm9 Pm 0.417 0.583 0.436 1
Pm10 Pm 0.417 0.917 0.564 1
Pm11 Pm 0.488 0.512 0.900 1
Pm12 Pm 0.488 0.988 0.100 1
Pm13 Pm 0.512 0.012 0.900 1
Pm14 Pm 0.512 0.488 0.100 1
Pm15 Pm 0.583 0.083 0.436 1
Pm16 Pm 0.583 0.417 0.564 1
Pm17 Pm 0.750 0.750 0.203 1
Pm18 Pm 0.750 0.750 0.328 1
Pm19 Pm 0.750 0.750 0.672 1
Pm20 Pm 0.750 0.750 0.797 1
Pm21 Pm 0.917 0.083 0.564 1
Pm22 Pm 0.917 0.417 0.436 1
Pm23 Pm 0.988 0.012 0.100 1
Pm24 Pm 0.988 0.488 0.900 1
Dy1 Dy 0.250 0.750 0.244 1
Dy2 Dy 0.250 0.750 0.756 1
Dy3 Dy 0.750 0.250 0.244 1
Dy4 Dy 0.750 0.250 0.756 1
Mg1 Mg 0.250 0.750 0.000 1
Mg2 Mg 0.750 0.250 0.000 1
```

Most intense lines, 2θ = 10–90°, low angle first:
2θ (°)	d [Å]	Rel. int.
22.0	4.049	31
27.9	3.194	100
29.2	3.063	51
30.8	2.907	44
33.2	2.699	32
38.5	2.341	51
51.7	1.769	27
53.1	1.724	31

This entry pairs a crystal structure of La14SnHg with its simulated powder diffractogram. Radiation: Cu Kα (weighted mean of Kα1 and Kα2). Structure: a DFT-relaxed cell (PBE, Alexandria).
Peak positions follow from Bragg's law for the DFT cell and can differ from measured ones.

Cell and atoms:
```
data_La14SnHg
_chemical_formula_sum 'La14 Sn1 Hg1'
_symmetry_space_group_name_H-M 'P 1'
_symmetry_Int_Tables_number 1
_cell_length_a 7.192
_cell_length_b 7.192
_cell_length_c 10.537
_cell_angle_alpha 90.00
_cell_angle_beta 90.00
_cell_angle_gamma 90.00
loop_
_symmetry_equiv_pos_as_xyz
'x,y,z'
loop_
_atom_site_label
_atom_site_type_symbol
_atom_site_fract_x
_atom_site_fract_y
_atom_site_fract_z
_atom_site_occupancy
La1 La 0.000 0.000 0.000 1
La2 La 0.000 0.500 0.000 1
La3 La 0.000 0.500 0.500 1
La4 La 0.248 0.248 0.259 1
La5 La 0.248 0.248 0.741 1
La6 La 0.248 0.752 0.259 1
La7 La 0.248 0.752 0.741 1
La8 La 0.500 0.000 0.000 1
La9 La 0.500 0.000 0.500 1
La10 La 0.500 0.500 0.000 1
La11 La 0.752 0.248 0.259 1
La12 La 0.752 0.248 0.741 1
La13 La 0.752 0.752 0.259 1
La14 La 0.752 0.752 0.741 1
Sn1 Sn 0.000 0.000 0.500 1
Hg1 Hg 0.500 0.500 0.500 1
```

Most intense lines, 2θ = 10–90°, low angle first:
2θ (°)	d [Å]	Rel. int.
30.1	2.970	100
34.0	2.634	18
35.3	2.543	33
49.8	1.829	24
50.8	1.798	12
58.5	1.578	15
60.2	1.538	28
62.6	1.485	12

This entry pairs a crystal structure of Rb2LiTlCl4 with its simulated powder diffractogram. Radiation: Cu Kα (weighted mean of Kα1 and Kα2). Structure: a DFT-relaxed cell (PBE, Alexandria).
Peak positions follow from Bragg's law for the DFT cell and can differ from measured ones.

Cell and atoms:
```
data_Rb2LiTlCl4
_chemical_formula_sum 'Rb4 Li2 Tl2 Cl8'
_symmetry_space_group_name_H-M 'P 1'
_symmetry_Int_Tables_number 1
_cell_length_a 8.961
_cell_length_b 8.961
_cell_length_c 8.953
_cell_angle_alpha 119.84
_cell_angle_beta 119.84
_cell_angle_gamma 88.61
loop_
_symmetry_equiv_pos_as_xyz
'x,y,z'
loop_
_atom_site_label
_atom_site_type_symbol
_atom_site_fract_x
_atom_site_fract_y
_atom_site_fract_z
_atom_site_occupancy
Rb1 Rb 0.000 0.000 0.000 1
Rb2 Rb 0.000 0.000 0.500 1
Rb3 Rb 0.000 0.500 0.000 1
Rb4 Rb 0.500 0.000 0.500 1
Li1 Li 0.000 0.500 0.500 1
Li2 Li 0.500 0.000 0.000 1
Tl1 Tl 0.500 0.500 0.000 1
Tl2 Tl 0.500 0.500 0.500 1
Cl1 Cl 0.202 0.301 0.502 1
Cl2 Cl 0.250 0.746 0.507 1
Cl3 Cl 0.254 0.750 0.993 1
Cl4 Cl 0.301 0.202 0.002 1
Cl5 Cl 0.699 0.798 0.998 1
Cl6 Cl 0.746 0.250 0.007 1
Cl7 Cl 0.750 0.254 0.493 1
Cl8 Cl 0.798 0.699 0.498 1
```

Most intense lines, 2θ = 10–90°, low angle first:
2θ (°)	d [Å]	Rel. int.
11.9	7.423	41
14.1	6.259	36
24.0	3.712	39
24.4	3.641	38
27.7	3.218	66
27.8	3.205	65
28.5	3.130	50
40.2	2.241	100